Structure and theoretical X-ray diffraction stick pattern of Zn3Bi2O7 (DFT lattice parameters and positions (PBE); Cu Kα (λ = 1.5418 Å)).
Kinematic intensities with the Lorentz-polarization factor, no thermal factor.

Structure:
```
data_Zn3Bi2O7
_chemical_formula_sum 'Zn12 Bi8 O28'
_space_group_name_H-M_alt 'C m c 21'
_space_group_IT_number 36
_cell_length_a 19.945
_cell_length_b 5.668
_cell_length_c 5.559
_cell_angle_alpha 90.00
_cell_angle_beta 90.00
_cell_angle_gamma 90.00
loop_
_space_group_symop_operation_xyz
'x,y,z'
'-x,-y,z+1/2'
'-x,y,z'
'x,-y,z+1/2'
'x+1/2,y+1/2,z'
'-x+1/2,-y+1/2,z+1/2'
'-x+1/2,y+1/2,z'
'x+1/2,-y+1/2,z+1/2'
loop_
_atom_site_label
_atom_site_fract_x
_atom_site_fract_y
_atom_site_fract_z
_atom_site_occupancy
Zn1 0.000 0.245 0.000 1
Zn2 0.210 0.298 0.962 1
Bi1 0.104 0.237 0.494 1
O1 0.000 0.093 0.332 1
O2 0.075 0.415 0.837 1
O3 0.147 0.098 0.157 1
O4 0.208 0.367 0.598 1
```

The 10 most intense peaks (2θ from 10° to 90°), low angle first:
- (4 0 0), 17.8°, I 14
- (1 1 1), 22.8°, I 31
- (0 2 0), 31.6°, I 25
- (5 1 1), 31.8°, I 100
- (0 0 2), 32.2°, I 25
- (0 2 2), 45.7°, I 20
- (5 3 1), 56.4°, I 30
- (10 0 2), 56.8°, I 10
- (5 1 3), 57.2°, I 22
- (10 2 2), 66.5°, I 11